Diffraction record for Zr2Ga3Co. The powder XRD pattern is simulated, not measured: it uses DFT lattice parameters and positions (GGA-PBE) and copper Kα.
No peak broadening, texture or thermal motion is included.

```
6
Lattice="4.918 -2.088 0.000 4.918 2.088 0.000 -4.292 0.000 4.946" Properties=species:S:1:pos:R:3 pbc="T T T"
Zr 0.000 0.000 0.000
Zr -1.673 0.000 2.896
Ga 2.912 0.000 0.938
Ga 2.631 0.000 4.774
Ga 5.250 0.000 2.098
Co 1.215 0.000 2.854
```

Most intense lines, 10° ≤ 2θ ≤ 90°, in order of rising 2θ:
d = 2.546 Å, I = 26.6; d = 2.473 Å, I = 20.8; d = 2.441 Å, I = 100.0; d = 2.426 Å, I = 48.5; d = 2.130 Å, I = 71.8; d = 2.087 Å, I = 57.7